Record 1
This entry pairs a crystal structure of Ca2PaCrS6 with its theoretical XRD peak list. Radiation: Cu Kα, 1.54184 Å. Structure: a GGA-PBE-relaxed structure.
Peak positions follow from Bragg's law for the DFT cell and can differ from measured ones.

Most intense lines, 2θ from 10° to 80°, in order of falling intensity:
d_spacing	intensity
4.792	100
2.396	51
3.425	44
3.350	43
5.652	42
2.865	28

Atomic structure:
abc: 6.579 7.002 11.454
angles: 90.00 123.30 90.00
Space group P2_1/c (No. 14)
Asymmetric unit:
Ca: 0.212 0.086 0.242 [4 per cell]
Pa: 0.500 0.000 0.000 [2 per cell]
Cr: 0.000 0.000 0.500 [2 per cell]
S: 0.121 0.205 0.943 [4 per cell]
S: 0.241 0.684 0.940 [4 per cell]
S: 0.352 0.030 0.737 [4 per cell]


Record 2
This entry pairs a crystal structure of Cs3KGe2I9 with its theoretical XRD peak list. Radiation: Cu Kα, 1.54184 Å. Structure: a GGA-PBE-relaxed structure.
Peak positions follow from Bragg's law for the DFT cell and can differ from measured ones.

Most intense lines, 2θ from 10° to 80°, in order of falling intensity:
d_spacing	intensity
3.107	100
3.510	87
2.127	37
2.664	24
2.275	23
3.858	21

Atomic structure:
abc: 8.5064 8.5064 11.5738
angles: 90.00 90.00 120.00
Space group P-3m1 (No. 164)
Asymmetric unit:
Cs: 0.0000 0.0000 0.0000 [1 per cell]
Cs: 0.3333 0.6667 0.7268 [2 per cell]
K: 0.0000 0.0000 0.5000 [1 per cell]
Ge: 0.3333 0.6667 0.1587 [2 per cell]
I: 0.0000 0.5000 0.0000 [3 per cell]
I: 0.1719 0.3438 0.2936 [6 per cell]


Record 3
This entry pairs a crystal structure of BaCuReO5 with its theoretical XRD peak list. Radiation: Cu Kα, 1.54184 Å. Structure: a GGA-PBE-relaxed structure.
Peak positions follow from Bragg's law for the DFT cell and can differ from measured ones.

Most intense lines, 2θ from 10° to 80°, in order of falling intensity:
d_spacing	intensity
3.436	100
2.759	58
2.689	42
1.902	29
2.673	27
1.896	27

Atomic structure:
abc: 3.803 3.803 8.019
angles: 90.00 90.00 90.00
Space group P4mm (No. 99)
Asymmetric unit:
Ba: 0.000 0.000 0.000 [1 per cell]
Cu: 0.500 0.500 0.267 [1 per cell]
Re: 0.500 0.500 0.633 [1 per cell]
O: 0.000 0.500 0.225 [2 per cell]
O: 0.000 0.500 0.618 [2 per cell]
O: 0.500 0.500 0.865 [1 per cell]